Calculated PXRD pattern
Compound: Ac3ErTm3Se8
Radiation: λ = 1.5418 Å (Cu Kα)
Structure: DFT lattice parameters and positions (GGA-PBE)
Neutral-atom scattering factors, no anomalous dispersion.

Main lines, sorted by position (2θ from 15° to 90°):
2θ = 24.9°, I 115, hkl 0 0 6; 2θ = 26.2°, I 175, hkl 2 0 2; 2θ = 30.0°, I 1000, hkl 0 2 4; 2θ = 42.1°, I 376, hkl 2 0 8; 2θ = 43.7°, I 365, hkl 2 2 0; 2θ = 53.9°, I 194, hkl 4 0 4; 2θ = 62.3°, I 118, hkl 0 4 8; 2θ = 69.5°, I 156, hkl 2 2 12; 2θ = 71.9°, I 165, hkl 2 4 4; 2θ = 79.2°, I 120, hkl 4 2 8

```
data_Ac3ErTm3Se8
_chemical_formula_sum 'Ac9 Er3 Tm9 Se24'
_cell_length_a 8.2786
_cell_length_b 8.2786
_cell_length_c 21.4197
_cell_angle_alpha 90.00
_cell_angle_beta 90.00
_cell_angle_gamma 120.00
_symmetry_space_group_name_H-M 'R -3 m'
_symmetry_Int_Tables_number 166
_symmetry_space_group_name_Hall '-R 3 2"'
loop_
_atom_site_label
_atom_site_type_symbol
_atom_site_fract_x
_atom_site_fract_y
_atom_site_fract_z
_atom_site_occupancy
Ac1 Ac 0.0000 0.5000 0.0000 1
Er1 Er 0.0000 0.0000 0.5000 1
Tm1 Tm 0.0000 0.5000 0.5000 1
Se1 Se 0.0000 0.0000 0.2387 1
Se2 Se 0.0066 0.5033 0.7593 1
```



Calculated PXRD pattern
Compound: Ac7Ag3
Radiation: λ = 1.5418 Å (Cu Kα)
Structure: DFT lattice parameters and positions (GGA-PBE)
Neutral-atom scattering factors, no anomalous dispersion.

Main lines, sorted by position (2θ from 15° to 90°):
2θ = 27.0°, I 405, hkl 1 0 2; 2θ = 27.6°, I 1000, hkl 2 1 1; 2θ = 30.6°, I 518, hkl 3 0 1; 2θ = 31.5°, I 430, hkl 2 0 2; 2θ = 32.2°, I 337, hkl 2 2 0; 2θ = 42.9°, I 188, hkl 2 0 3; 2θ = 48.1°, I 221, hkl 3 0 3; 2θ = 48.7°, I 268, hkl 3 2 2; 2θ = 49.0°, I 249, hkl 5 0 1; 2θ = 72.0°, I 206, hkl 6 2 1

```
data_Ac7Ag3
_chemical_formula_sum 'Ac14 Ag6'
_cell_length_a 11.1202
_cell_length_b 11.1202
_cell_length_c 7.0237
_cell_angle_alpha 90.00
_cell_angle_beta 90.00
_cell_angle_gamma 120.00
_symmetry_space_group_name_H-M 'P 63 m c'
_symmetry_Int_Tables_number 186
_symmetry_space_group_name_Hall 'P 6c -2c'
loop_
_atom_site_label
_atom_site_type_symbol
_atom_site_fract_x
_atom_site_fract_y
_atom_site_fract_z
_atom_site_occupancy
Ac1 Ac 0.0787 0.5394 0.0000 1
Ac2 Ac 0.1263 0.2526 0.7058 1
Ac3 Ac 0.3333 0.6667 0.5320 1
Ag1 Ag 0.1907 0.3814 0.2771 1
```



Calculated PXRD pattern
Compound: BaEuNbInO6
Radiation: λ = 1.5418 Å (Cu Kα)
Structure: DFT lattice parameters and positions (GGA-PBE)
Neutral-atom scattering factors, no anomalous dispersion.

Main lines, sorted by position (2θ from 15° to 90°):
2θ = 30.3°, I 1000, hkl 2 2 0; 2θ = 35.7°, I 6, hkl 3 1 1; 2θ = 37.3°, I 51, hkl 2 2 2; 2θ = 43.4°, I 300, hkl 4 0 0; 2θ = 53.8°, I 398, hkl 4 2 2; 2θ = 63.0°, I 185, hkl 4 4 0; 2θ = 71.5°, I 174, hkl 6 2 0; 2θ = 75.6°, I 15, hkl 6 2 2; 2θ = 79.6°, I 61, hkl 4 4 4; 2θ = 87.5°, I 211, hkl 6 4 2

```
data_BaEuNbInO6
_chemical_formula_sum 'Ba4 Eu4 Nb4 In4 O24'
_cell_length_a 8.344
_cell_length_b 8.344
_cell_length_c 8.344
_cell_angle_alpha 90.00
_cell_angle_beta 90.00
_cell_angle_gamma 90.00
_symmetry_space_group_name_H-M 'F -4 3 m'
_symmetry_Int_Tables_number 216
_symmetry_space_group_name_Hall 'F -4 2 3'
loop_
_atom_site_label
_atom_site_type_symbol
_atom_site_fract_x
_atom_site_fract_y
_atom_site_fract_z
_atom_site_occupancy
Ba1 Ba 0.000 0.000 0.000 1
Eu1 Eu 0.000 0.000 0.500 1
Nb1 Nb 0.250 0.250 0.750 1
In1 In 0.250 0.250 0.250 1
O1 O 0.009 0.250 0.750 1
```



Calculated PXRD pattern
Compound: Ba2ThCu2O6
Radiation: λ = 1.5418 Å (Cu Kα)
Structure: DFT lattice parameters and positions (GGA-PBE)
Neutral-atom scattering factors, no anomalous dispersion.

Main lines, sorted by position (2θ from 15° to 90°):
2θ = 17.4°, I 267, hkl 1 0 1; 2θ = 26.1°, I 315, hkl 1 0 4; 2θ = 29.0°, I 1000, hkl 1 1 0; 2θ = 30.2°, I 811, hkl 0 1 5; 2θ = 39.4°, I 226, hkl 0 2 4; 2θ = 42.4°, I 362, hkl 2 0 5; 2θ = 51.5°, I 205, hkl 3 0 0; 2θ = 52.2°, I 372, hkl 1 2 5; 2θ = 55.2°, I 228, hkl 1 1 9; 2θ = 60.2°, I 178, hkl 2 2 0

```
data_Ba2ThCu2O6
_chemical_formula_sum 'Ba6 Th3 Cu6 O18'
_cell_length_a 6.1496
_cell_length_b 6.1496
_cell_length_c 17.8075
_cell_angle_alpha 90.00
_cell_angle_beta 90.00
_cell_angle_gamma 120.00
_symmetry_space_group_name_H-M 'R -3 m'
_symmetry_Int_Tables_number 166
_symmetry_space_group_name_Hall '-R 3 2"'
loop_
_atom_site_label
_atom_site_type_symbol
_atom_site_fract_x
_atom_site_fract_y
_atom_site_fract_z
_atom_site_occupancy
Ba1 Ba 0.0000 0.0000 0.2121 1
Th1 Th 0.0000 0.0000 0.0000 1
Cu1 Cu 0.0000 0.0000 0.4235 1
O1 O 0.0162 0.5081 0.7541 1
```



Calculated PXRD pattern
Compound: Rb3U3BiSe8
Radiation: λ = 1.5418 Å (Cu Kα)
Structure: DFT lattice parameters and positions (GGA-PBE)
Neutral-atom scattering factors, no anomalous dispersion.

Main lines, sorted by position (2θ from 15° to 90°):
2θ = 24.6°, I 144, hkl 0 2 1; 2θ = 28.4°, I 1000, hkl 0 2 4; 2θ = 35.5°, I 219, hkl 0 2 7; 2θ = 38.3°, I 366, hkl 2 0 8; 2θ = 42.7°, I 354, hkl 2 2 0; 2θ = 44.2°, I 144, hkl 2 2 3; 2θ = 44.5°, I 132, hkl 0 0 12; 2θ = 52.1°, I 186, hkl 4 0 4; 2θ = 63.3°, I 148, hkl 2 2 12; 2θ = 69.6°, I 157, hkl 2 4 4

```
data_Rb3U3BiSe8
_chemical_formula_sum 'Rb9 U9 Bi3 Se24'
_cell_length_a 8.4668
_cell_length_b 8.4668
_cell_length_c 24.4739
_cell_angle_alpha 90.00
_cell_angle_beta 90.00
_cell_angle_gamma 120.00
_symmetry_space_group_name_H-M 'R -3 m'
_symmetry_Int_Tables_number 166
_symmetry_space_group_name_Hall '-R 3 2"'
loop_
_atom_site_label
_atom_site_type_symbol
_atom_site_fract_x
_atom_site_fract_y
_atom_site_fract_z
_atom_site_occupancy
Rb1 Rb 0.0000 0.5000 0.0000 1
U1 U 0.0000 0.5000 0.5000 1
Bi1 Bi 0.0000 0.0000 0.5000 1
Se1 Se 0.0000 0.0000 0.2323 1
Se2 Se 0.0105 0.5052 0.7675 1
```



Calculated PXRD pattern
Compound: TaPt5
Radiation: λ = 1.5418 Å (Cu Kα)
Structure: DFT lattice parameters and positions (GGA-PBE)
Neutral-atom scattering factors, no anomalous dispersion.

Main lines, sorted by position (2θ from 15° to 90°):
2θ = 39.0°, I 1000, hkl 3 1 0; 2θ = 39.2°, I 993, hkl 1 1 -2; 2θ = 44.8°, I 343, hkl 4 0 -2; 2θ = 45.5°, I 322, hkl 2 0 2; 2θ = 46.1°, I 315, hkl 0 2 0; 2θ = 66.2°, I 217, hkl 4 2 -2; 2θ = 66.8°, I 208, hkl 2 2 2; 2θ = 78.5°, I 133, hkl 7 1 -2; 2θ = 78.9°, I 134, hkl 5 1 -4; 2θ = 80.8°, I 127, hkl 1 3 -2

```
data_TaPt5
_chemical_formula_sum 'Ta2 Pt10'
_cell_length_a 9.048
_cell_length_b 3.935
_cell_length_c 5.662
_cell_angle_alpha 90.00
_cell_angle_beta 109.17
_cell_angle_gamma 90.00
_symmetry_space_group_name_H-M 'C 1 2/m 1'
_symmetry_Int_Tables_number 12
loop_
_symmetry_equiv_pos_as_xyz
'x,y,z'
'-x,-y,-z'
'-x,y,-z'
'x,-y,z'
'x+1/2,y+1/2,z'
'-x+1/2,-y+1/2,-z'
'-x+1/2,y+1/2,-z'
'x+1/2,-y+1/2,z'
loop_
_atom_site_label
_atom_site_type_symbol
_atom_site_fract_x
_atom_site_fract_y
_atom_site_fract_z
_atom_site_occupancy
Ta1 Ta 0.000 0.000 0.000 1
Pt1 Pt 0.000 0.000 0.500 1
Pt2 Pt 0.159 0.500 0.323 1
Pt3 Pt 0.165 0.500 0.833 1
```



Calculated PXRD pattern
Compound: Na3Cd5Ag
Radiation: λ = 1.5418 Å (Cu Kα)
Structure: DFT lattice parameters and positions (GGA-PBE)
Neutral-atom scattering factors, no anomalous dispersion.

Main lines, sorted by position (2θ from 15° to 90°):
2θ = 20.5°, I 450, hkl 1 1 2; 2θ = 23.3°, I 440, hkl 2 1 1; 2θ = 27.9°, I 794, hkl 2 2 0; 2θ = 31.8°, I 717, hkl 2 1 3; 2θ = 34.9°, I 264, hkl 3 1 2; 2θ = 36.5°, I 1000, hkl 2 0 4; 2θ = 41.9°, I 318, hkl 4 1 1; 2θ = 47.5°, I 368, hkl 4 1 3; 2θ = 59.7°, I 194, hkl 5 3 0; 2θ = 70.7°, I 225, hkl 2 2 8

```
data_Na3Cd5Ag
_chemical_formula_sum 'Na12 Cd20 Ag4'
_cell_length_a 9.040
_cell_length_b 9.040
_cell_length_c 11.734
_cell_angle_alpha 90.00
_cell_angle_beta 90.00
_cell_angle_gamma 90.00
_symmetry_space_group_name_H-M 'I 4/m c m'
_symmetry_Int_Tables_number 140
_symmetry_space_group_name_Hall '-I 4 2c'
loop_
_atom_site_label
_atom_site_type_symbol
_atom_site_fract_x
_atom_site_fract_y
_atom_site_fract_z
_atom_site_occupancy
Na1 Na 0.000 0.000 0.250 1
Na2 Na 0.115 0.385 0.000 1
Cd1 Cd 0.000 0.000 0.000 1
Cd2 Cd 0.192 0.308 0.360 1
Ag1 Ag 0.000 0.500 0.250 1
```



Calculated PXRD pattern
Compound: Sn4BiPb2
Radiation: λ = 1.5418 Å (Cu Kα)
Structure: DFT lattice parameters and positions (GGA-PBE)
Neutral-atom scattering factors, no anomalous dispersion.

Main lines, sorted by position (2θ from 15° to 90°):
2θ = 25.7°, I 373, hkl 1 3 0; 2θ = 28.3°, I 191, hkl 0 4 0; 2θ = 29.1°, I 1000, hkl 2 0 0; 2θ = 31.9°, I 225, hkl 0 4 1; 2θ = 39.3°, I 252, hkl 1 3 2; 2θ = 41.1°, I 288, hkl 2 4 0; 2θ = 41.7°, I 390, hkl 2 0 2; 2θ = 43.7°, I 194, hkl 2 4 1; 2θ = 51.2°, I 154, hkl 2 4 2; 2θ = 66.7°, I 158, hkl 2 8 0

```
data_Sn4BiPb2
_chemical_formula_sum 'Sn8 Bi2 Pb4'
_cell_length_a 6.136
_cell_length_b 12.616
_cell_length_c 6.119
_cell_angle_alpha 90.00
_cell_angle_beta 90.00
_cell_angle_gamma 90.00
_symmetry_space_group_name_H-M 'C m m m'
_symmetry_Int_Tables_number 65
_symmetry_space_group_name_Hall '-C 2 2'
loop_
_atom_site_label
_atom_site_type_symbol
_atom_site_fract_x
_atom_site_fract_y
_atom_site_fract_z
_atom_site_occupancy
Sn1 Sn 0.000 0.115 0.000 1
Sn2 Sn 0.000 0.380 0.500 1
Bi1 Bi 0.000 0.000 0.500 1
Pb1 Pb 0.000 0.361 0.000 1
```



Calculated PXRD pattern
Compound: OsI3Br4
Radiation: λ = 1.5418 Å (Cu Kα)
Structure: DFT lattice parameters and positions (GGA-PBE)
Neutral-atom scattering factors, no anomalous dispersion.

Main lines, sorted by position (2θ from 15° to 90°):
2θ = 20.4°, I 1000, hkl 0 2 0; 2θ = 24.1°, I 485, hkl 1 1 1; 2θ = 25.2°, I 316, hkl 1 1 -2; 2θ = 28.4°, I 551, hkl 0 0 2; 2θ = 29.4°, I 682, hkl 4 0 -2; 2θ = 32.6°, I 431, hkl 1 3 -1; 2θ = 39.8°, I 423, hkl 5 1 -3; 2θ = 41.4°, I 332, hkl 0 4 0; 2θ = 50.0°, I 313, hkl 5 3 -3; 2θ = 51.6°, I 340, hkl 4 4 -2

```
data_OsI3Br4
_chemical_formula_sum 'Os2 I6 Br8'
_cell_length_a 12.183
_cell_length_b 8.714
_cell_length_c 8.385
_cell_angle_alpha 90.00
_cell_angle_beta 131.46
_cell_angle_gamma 90.00
_symmetry_space_group_name_H-M 'C 1 m 1'
_symmetry_Int_Tables_number 8
loop_
_symmetry_equiv_pos_as_xyz
'x,y,z'
'x,-y,z'
'x+1/2,y+1/2,z'
'x+1/2,-y+1/2,z'
loop_
_atom_site_label
_atom_site_type_symbol
_atom_site_fract_x
_atom_site_fract_y
_atom_site_fract_z
_atom_site_occupancy
Os1 Os 0.000 0.000 0.000 1
I1 I 0.150 0.000 0.875 1
I2 I 0.264 0.500 0.569 1
I3 I 0.498 0.000 0.488 1
Br1 Br 0.223 0.000 0.392 1
Br2 Br 0.340 0.500 0.081 1
Br3 Br 0.499 0.217 0.998 1
```



Calculated PXRD pattern
Compound: HoTm2Hg
Radiation: λ = 1.5418 Å (Cu Kα)
Structure: DFT lattice parameters and positions (GGA-PBE)
Neutral-atom scattering factors, no anomalous dispersion.

Main lines, sorted by position (2θ from 15° to 90°):
2θ = 32.3°, I 1000, hkl 1 0 2; 2θ = 35.8°, I 403, hkl 1 1 0; 2θ = 40.8°, I 114, hkl 0 0 4; 2θ = 51.5°, I 144, hkl 2 0 0; 2θ = 55.3°, I 188, hkl 1 1 4; 2θ = 62.1°, I 313, hkl 2 1 2; 2θ = 67.7°, I 103, hkl 2 0 4; 2θ = 68.9°, I 74, hkl 1 0 6; 2θ = 84.8°, I 67, hkl 3 0 2; 2θ = 86.7°, I 68, hkl 3 1 0

```
data_HoTm2Hg
_chemical_formula_sum 'Ho1 Tm2 Hg1'
_cell_length_a 3.550
_cell_length_b 3.550
_cell_length_c 8.851
_cell_angle_alpha 90.00
_cell_angle_beta 90.00
_cell_angle_gamma 90.00
_symmetry_space_group_name_H-M 'P 4/m m m'
_symmetry_Int_Tables_number 123
_symmetry_space_group_name_Hall '-P 4 2'
loop_
_atom_site_label
_atom_site_type_symbol
_atom_site_fract_x
_atom_site_fract_y
_atom_site_fract_z
_atom_site_occupancy
Ho1 Ho 0.000 0.000 0.000 1
Tm1 Tm 0.500 0.500 0.276 1
Hg1 Hg 0.000 0.000 0.500 1
```



Calculated PXRD pattern
Compound: La9Co2Cl14
Radiation: λ = 1.5418 Å (Cu Kα)
Structure: DFT lattice parameters and positions (GGA-PBE)
Neutral-atom scattering factors, no anomalous dispersion.

Main lines, sorted by position (2θ from 15° to 90°):
2θ = 22.2°, I 1000, hkl 2 -1 1; 2θ = 22.8°, I 406, hkl 0 0 3; 2θ = 28.5°, I 182, hkl 2 0 2; 2θ = 32.0°, I 208, hkl 1 2 0; 2θ = 32.9°, I 367, hkl 3 -1 1; 2θ = 36.4°, I 423, hkl 3 0 0; 2θ = 37.3°, I 550, hkl 2 -1 4; 2θ = 39.7°, I 232, hkl 1 2 3; 2θ = 44.8°, I 223, hkl 3 1 1; 2θ = 54.6°, I 168, hkl 3 1 4

```
data_La9Co2Cl14
_chemical_formula_sum 'La9 Co2 Cl14'
_cell_length_a 8.5452
_cell_length_b 8.5452
_cell_length_c 11.6932
_cell_angle_alpha 90.00
_cell_angle_beta 90.00
_cell_angle_gamma 120.00
_symmetry_space_group_name_H-M 'P -3'
_symmetry_Int_Tables_number 147
loop_
_symmetry_equiv_pos_as_xyz
'x,y,z'
'-x,-y,-z'
'-y,x-y,z'
'y,-x+y,-z'
'-x+y,-x,z'
'x-y,x,-z'
loop_
_atom_site_label
_atom_site_type_symbol
_atom_site_fract_x
_atom_site_fract_y
_atom_site_fract_z
_atom_site_occupancy
La1 La 0.0000 0.0000 0.0000 1
La2 La 0.0836 0.3752 0.3365 1
La3 La 0.3333 0.6667 0.0466 1
Co1 Co 0.3333 0.6667 0.2595 1
Cl1 Cl 0.0000 0.0000 0.2512 1
Cl2 Cl 0.0398 0.6892 0.9128 1
Cl3 Cl 0.0759 0.3928 0.5948 1
```